The following is a simulated powder XRD pattern of K2ZnFe. It was derived from a DFT-relaxed cell (PBE, Alexandria), using CuKα.

Peak list (10 most intense, 5 to 70 degrees two-theta, by angle)
| d (Å) | I_rel | index |
| --- | --- | --- |
| 10.141 | 100 | 0 0 1 |
| 3.470 | 6 | 0 1 1 |
| 3.380 | 23 | 0 0 3 |
| 2.985 | 7 | 0 1 2 |
| 2.535 | 7 | 0 0 4 |
| 2.498 | 35 | 1 1 0 |
| 2.426 | 13 | 1 1 1 |
| 2.395 | 7 | 1 0 3 |
| 2.009 | 19 | 1 1 3 |
| 1.780 | 10 | 1 1 4 |

```
data_K2ZnFe
_chemical_formula_sum 'K2 Zn1 Fe1'
_cell_length_a 3.3939
_cell_length_b 3.6930
_cell_length_c 10.1410
_cell_angle_alpha 90.00
_cell_angle_beta 90.00
_cell_angle_gamma 90.00
_symmetry_space_group_name_H-M 'P m m 2'
_symmetry_Int_Tables_number 25
loop_
_symmetry_equiv_pos_as_xyz
'x,y,z'
'-x,-y,z'
'-x,y,z'
'x,-y,z'
loop_
_atom_site_label
_atom_site_type_symbol
_atom_site_fract_x
_atom_site_fract_y
_atom_site_fract_z
K1 K 0.0000 0.0000 0.0000
K2 K 0.5000 0.5000 0.4150
Zn1 Zn 0.0000 0.0000 0.6832
Fe1 Fe 0.5000 0.5000 0.7294
```